1.
Simulated X-ray powder pattern
Compound: Ho3BiPb
Radiation: CuKα
Structure: a DFT-relaxed cell (PBE, Alexandria)

Atomic structure:
```
Ho3BiPb
1.0
8.6851 0.0000 0.0000
0.0000 4.1785 0.0000
-0.0843 0.0000 9.0900
Ho Bi Pb
6 2 2
direct
0.0056 0.2500 0.1477
0.3452 0.7500 0.1284
0.3671 0.7500 0.6165
0.6329 0.2500 0.3835
0.6548 0.2500 0.8716
0.9944 0.7500 0.8523
0.2787 0.2500 0.8697
0.7213 0.7500 0.1303
0.2696 0.2500 0.3782
0.7304 0.7500 0.6218
```

Main lines, sorted by position (10 to 90 degrees two-theta):
Position (°2θ)	Rel. int.
29.0	100
30.8	48
30.9	93
35.7	66
35.9	69
37.8	35
39.7	49
43.3	42

=====

2.
Simulated X-ray powder pattern
Compound: Li6Pm3Au20
Radiation: CuKα
Structure: a DFT-relaxed cell (PBE, Alexandria)

Atomic structure:
```
Li6Pm3Au20
1.0
0.0000 6.3997 6.3997
6.3997 0.0000 6.3997
6.3997 6.3997 0.0000
Li Pm Au
6 3 20
direct
0.2297 0.2297 0.7703
0.2297 0.7703 0.2297
0.2297 0.7703 0.7703
0.7703 0.2297 0.2297
0.7703 0.2297 0.7703
0.7703 0.7703 0.2297
0.2500 0.2500 0.2500
0.5000 0.5000 0.5000
0.7500 0.7500 0.7500
0.1158 0.1158 0.1158
0.1158 0.1158 0.6527
0.1158 0.6527 0.1158
0.1551 0.5000 0.5000
0.1551 0.5000 0.8449
0.1551 0.8449 0.5000
0.3473 0.8842 0.8842
0.5000 0.1551 0.5000
0.5000 0.1551 0.8449
0.5000 0.5000 0.1551
0.5000 0.5000 0.8449
0.5000 0.8449 0.1551
0.5000 0.8449 0.5000
0.6527 0.1158 0.1158
0.8449 0.1551 0.5000
0.8449 0.5000 0.1551
0.8449 0.5000 0.5000
0.8842 0.3473 0.8842
0.8842 0.8842 0.3473
0.8842 0.8842 0.8842
```

Main lines, sorted by position (10 to 90 degrees two-theta):
Position (°2θ)	Rel. int.
31.3	23
34.3	22
36.5	100
39.8	17
41.8	33
61.5	27
62.9	15
72.3	15

=====

3.
Simulated X-ray powder pattern
Compound: Li2Ag6Sb
Radiation: CuKα
Structure: a DFT-relaxed cell (PBE, Alexandria)

Atomic structure:
```
Li2Ag6Sb
1.0
4.1556 -2.8753 0.0000
4.1556 2.8753 0.0000
-1.9076 0.0000 7.2271
Li Ag Sb
2 6 1
direct
0.1726 0.1726 0.0832
0.8274 0.8274 0.9168
0.1970 0.7109 0.3005
0.2514 0.2514 0.5009
0.2891 0.8030 0.6995
0.7109 0.1970 0.3005
0.7486 0.7486 0.4991
0.8030 0.2891 0.6995
0.5000 0.5000 0.0000
```

Main lines, sorted by position (10 to 90 degrees two-theta):
Position (°2θ)	Rel. int.
12.2	93
22.1	32
28.0	51
37.5	36
38.3	68
38.5	49
38.7	100
40.1	95

=====

4.
Simulated X-ray powder pattern
Compound: Hg3GeAu3
Radiation: CuKα
Structure: a DFT-relaxed cell (PBE, Alexandria)

Atomic structure:
```
Hg3GeAu3
1.0
10.6757 0.0000 0.0000
0.0000 11.0669 0.0000
0.0000 0.0000 5.4494
Hg Ge Au
12 4 12
direct
0.1254 0.1687 0.0000
0.1277 0.9205 0.5000
0.1293 0.5431 0.0000
0.3707 0.0431 0.5000
0.3723 0.4205 0.0000
0.3746 0.6687 0.5000
0.6254 0.3313 0.5000
0.6277 0.5795 0.0000
0.6293 0.9569 0.5000
0.8707 0.4569 0.0000
0.8723 0.0795 0.5000
0.8746 0.8313 0.0000
0.1400 0.4262 0.5000
0.3600 0.9262 0.0000
0.6400 0.0738 0.0000
0.8600 0.5738 0.5000
0.0991 0.6610 0.5000
0.1218 0.1812 0.5000
0.1428 0.8155 0.0000
0.3572 0.3155 0.5000
0.3782 0.6812 0.0000
0.4009 0.1610 0.0000
0.5991 0.8390 0.0000
0.6218 0.3188 0.0000
0.6428 0.6845 0.5000
0.8572 0.1845 0.0000
0.8782 0.8188 0.5000
0.9009 0.3390 0.5000
```

Main lines, sorted by position (10 to 90 degrees two-theta):
Position (°2θ)	Rel. int.
25.5	25
29.2	47
32.9	100
33.6	85
35.0	25
40.3	89
45.1	24
47.7	70